[1]
Structure and theoretical X-ray diffraction stick pattern of V2PbO6 (a DFT-relaxed cell (GGA+U, the Materials Project); Cu Kα (λ = 1.5418 Å)).

Structure:
Cell lengths 8.258, 8.258, 9.082 Å; angles 90.00, 90.00, 118.12 degrees
Fractional coordinates of all 27 atoms:
V 0.000 0.500 0.277
V 0.165 0.237 0.250
V 0.237 0.165 0.750
V 0.500 0.000 0.723
V 0.763 0.835 0.750
V 0.835 0.763 0.250
Pb 0.364 0.636 0.000
Pb 0.500 0.500 0.500
Pb 0.636 0.364 0.000
O 0.000 0.000 0.281
O 0.000 0.000 0.719
O 0.120 0.390 0.374
O 0.157 0.311 0.080
O 0.165 0.666 0.173
O 0.283 0.385 0.716
O 0.311 0.157 0.920
O 0.334 0.835 0.827
O 0.385 0.283 0.284
O 0.390 0.120 0.626
O 0.610 0.880 0.626
O 0.615 0.717 0.284
O 0.666 0.165 0.827
O 0.689 0.843 0.920
O 0.717 0.615 0.716
O 0.835 0.334 0.173
O 0.843 0.689 0.080
O 0.880 0.610 0.374

The 8 most intense peaks (15 to 90 degrees two-theta), in order of rising 2θ:
15.60 deg, I = 42.9; 23.09 deg, I = 100.0; 23.68 deg, I = 89.8; 26.37 deg, I = 28.8; 27.03 deg, I = 35.2; 28.79 deg, I = 63.7; 34.43 deg, I = 45.1; 36.82 deg, I = 31.9



[2]
Structure and theoretical X-ray diffraction stick pattern of Li2FeF4 (a DFT-relaxed cell (GGA+U, the Materials Project); Cu Kα (λ = 1.5418 Å)).

Structure:
Cell lengths 8.901, 8.901, 8.901 Å; angles 107.73, 107.73, 107.73 degrees
Fractional coordinates of all 42 atoms:
Li 0.135 0.270 0.861
Li 0.139 0.865 0.730
Li 0.203 0.451 0.581
Li 0.270 0.861 0.135
Li 0.419 0.797 0.549
Li 0.451 0.581 0.203
Li 0.549 0.419 0.797
Li 0.581 0.203 0.451
Li 0.730 0.139 0.865
Li 0.797 0.549 0.419
Li 0.861 0.135 0.270
Li 0.865 0.730 0.139
Fe 0.055 0.506 0.209
Fe 0.209 0.055 0.506
Fe 0.494 0.791 0.945
Fe 0.506 0.209 0.055
Fe 0.791 0.945 0.494
Fe 0.945 0.494 0.791
F 0.032 0.359 0.348
F 0.035 0.679 0.049
F 0.049 0.035 0.679
F 0.130 0.431 0.761
F 0.239 0.870 0.569
F 0.310 0.610 0.320
F 0.320 0.310 0.610
F 0.321 0.951 0.965
F 0.348 0.032 0.359
F 0.359 0.348 0.032
F 0.390 0.680 0.690
F 0.431 0.761 0.130
F 0.569 0.239 0.870
F 0.610 0.320 0.310
F 0.641 0.652 0.968
F 0.652 0.968 0.641
F 0.679 0.049 0.035
F 0.680 0.690 0.390
F 0.690 0.390 0.680
F 0.761 0.130 0.431
F 0.870 0.569 0.239
F 0.951 0.965 0.321
F 0.965 0.321 0.951
F 0.968 0.641 0.652

The 8 most intense peaks (15 to 90 degrees two-theta), in order of rising 2θ:
16.96 deg, I = 36.5; 19.76 deg, I = 21.9; 21.01 deg, I = 100.0; 26.47 deg, I = 24.4; 30.48 deg, I = 76.6; 32.97 deg, I = 39.5; 37.54 deg, I = 27.1; 52.50 deg, I = 39.0



[3]
Structure and theoretical X-ray diffraction stick pattern of Na4Cr2P4O15 (a DFT-relaxed cell (GGA+U, the Materials Project); Cu Kα (λ = 1.5418 Å)).

Structure:
Cell lengths 7.866, 9.877, 10.527 Å; angles 90.00, 125.52, 90.00 degrees
Fractional coordinates of all 50 atoms:
Na 0.144 0.159 0.180
Na 0.144 0.341 0.680
Na 0.154 0.535 0.213
Na 0.154 0.965 0.713
Na 0.846 0.035 0.287
Na 0.846 0.465 0.787
Na 0.856 0.659 0.320
Na 0.856 0.841 0.820
Cr 0.370 0.744 0.553
Cr 0.370 0.756 0.053
Cr 0.630 0.244 0.947
Cr 0.630 0.256 0.447
P 0.129 0.646 0.700
P 0.129 0.854 0.200
P 0.419 0.124 0.603
P 0.419 0.376 0.103
P 0.581 0.624 0.897
P 0.581 0.876 0.397
P 0.871 0.146 0.800
P 0.871 0.354 0.300
O 0.041 0.043 0.862
O 0.041 0.457 0.362
O 0.127 0.730 0.575
O 0.127 0.770 0.075
O 0.144 0.746 0.820
O 0.144 0.754 0.320
O 0.269 0.007 0.556
O 0.269 0.493 0.056
O 0.346 0.559 0.790
O 0.346 0.941 0.290
O 0.399 0.193 0.464
O 0.399 0.307 0.964
O 0.418 0.228 0.712
O 0.418 0.272 0.212
O 0.500 0.000 0.000
O 0.500 0.500 0.500
O 0.582 0.728 0.788
O 0.582 0.772 0.288
O 0.601 0.693 0.036
O 0.601 0.807 0.536
O 0.654 0.059 0.710
O 0.654 0.441 0.210
O 0.731 0.507 0.944
O 0.731 0.993 0.444
O 0.856 0.246 0.680
O 0.856 0.254 0.180
O 0.873 0.230 0.925
O 0.873 0.270 0.425
O 0.959 0.543 0.638
O 0.959 0.957 0.138

The 8 most intense peaks (15 to 90 degrees two-theta), in order of rising 2θ:
16.50 deg, I = 79.5; 17.96 deg, I = 54.4; 27.30 deg, I = 49.9; 29.50 deg, I = 71.7; 31.14 deg, I = 85.1; 32.12 deg, I = 100.0; 34.38 deg, I = 45.0; 44.94 deg, I = 45.8



[4]
Structure and theoretical X-ray diffraction stick pattern of Sr4MgFe2Cl2O6 (a DFT-relaxed cell (GGA+U, the Materials Project); Cu Kα (λ = 1.5418 Å)).

Structure:
Cell lengths 4.057, 4.083, 14.981 Å; angles 90.04, 90.02, 91.09 degrees
Fractional coordinates of all 15 atoms:
Sr 0.000 0.000 0.000
Sr 0.000 0.001 0.216
Sr 0.500 0.501 0.512
Sr 0.502 0.501 0.728
Mg 0.500 0.002 0.864
Fe 0.000 0.001 0.639
Fe 0.500 0.501 0.088
Cl 0.000 0.001 0.437
Cl 0.501 0.501 0.291
O 0.000 0.001 0.811
O 0.000 0.501 0.105
O 0.001 0.501 0.622
O 0.500 0.001 0.098
O 0.500 0.502 0.917
O 0.501 0.001 0.632

The 8 most intense peaks (15 to 90 degrees two-theta), in order of rising 2θ:
30.78 deg, I = 51.7; 31.38 deg, I = 49.6; 37.25 deg, I = 100.0; 37.32 deg, I = 33.1; 39.25 deg, I = 23.2; 39.74 deg, I = 22.3; 44.39 deg, I = 34.0; 44.68 deg, I = 33.3



[5]
Structure and theoretical X-ray diffraction stick pattern of MgV4O8F4 (a DFT-relaxed cell (GGA+U, the Materials Project); Cu Kα (λ = 1.5418 Å)).

Structure:
Cell lengths 5.151, 5.195, 9.313 Å; angles 77.32, 75.57, 61.05 degrees
Fractional coordinates of all 17 atoms:
Mg 0.000 0.000 0.000
V 0.058 0.113 0.572
V 0.337 0.431 0.808
V 0.612 0.665 0.060
V 0.837 0.858 0.331
O 0.023 0.390 0.923
O 0.136 0.775 0.674
O 0.282 0.861 0.166
O 0.386 0.659 0.915
O 0.500 0.914 0.422
O 0.731 0.340 0.674
O 0.869 0.714 0.165
O 0.920 0.084 0.421
F 0.079 0.504 0.432
F 0.320 0.180 0.663
F 0.644 0.026 0.926
F 0.687 0.263 0.164

The 8 most intense peaks (15 to 90 degrees two-theta), in order of rising 2θ:
23.07 deg, I = 96.8; 23.80 deg, I = 100.0; 24.52 deg, I = 96.3; 32.61 deg, I = 22.5; 33.23 deg, I = 20.9; 34.01 deg, I = 27.7; 47.15 deg, I = 27.8; 48.71 deg, I = 21.7



[6]
Structure and theoretical X-ray diffraction stick pattern of V2F7 (a DFT-relaxed cell (GGA+U, the Materials Project); Cu Kα (λ = 1.5418 Å)).

Structure:
Cell lengths 7.447, 7.447, 7.447 Å; angles 119.87, 86.41, 124.37 degrees
Fractional coordinates of all 18 atoms:
V 0.000 0.000 0.000
V 0.500 0.000 0.000
V 0.500 0.000 0.500
V 0.500 0.500 0.500
F 0.182 0.247 0.307
F 0.182 0.875 0.936
F 0.191 0.243 0.948
F 0.206 0.757 0.448
F 0.408 0.658 0.750
F 0.439 0.247 0.564
F 0.439 0.875 0.193
F 0.561 0.125 0.807
F 0.561 0.753 0.436
F 0.592 0.342 0.250
F 0.794 0.243 0.552
F 0.809 0.757 0.052
F 0.818 0.125 0.064
F 0.818 0.753 0.693

The 8 most intense peaks (15 to 90 degrees two-theta), in order of rising 2θ:
15.14 deg, I = 100.0; 17.44 deg, I = 63.1; 23.98 deg, I = 47.0; 27.79 deg, I = 23.4; 28.37 deg, I = 26.9; 29.04 deg, I = 41.6; 30.54 deg, I = 18.8; 49.09 deg, I = 20.5



[7]
Structure and theoretical X-ray diffraction stick pattern of Li4Mn7O9F7 (a DFT-relaxed cell (GGA+U, the Materials Project); Cu Kα (λ = 1.5418 Å)).

Structure:
Cell lengths 6.080, 6.080, 10.851 Å; angles 108.39, 108.39, 57.62 degrees
Fractional coordinates of all 27 atoms:
Li 0.000 0.000 0.000
Li 0.116 0.116 0.398
Li 0.505 0.505 0.503
Li 0.601 0.601 0.886
Mn 0.052 0.573 0.704
Mn 0.056 0.547 0.206
Mn 0.282 0.282 0.937
Mn 0.547 0.056 0.206
Mn 0.559 0.559 0.206
Mn 0.573 0.052 0.704
Mn 0.801 0.801 0.445
O 0.206 0.206 0.091
O 0.401 0.401 0.815
O 0.429 0.429 0.294
O 0.465 0.907 0.337
O 0.680 0.680 0.109
O 0.716 0.716 0.577
O 0.902 0.902 0.322
O 0.907 0.465 0.337
O 0.910 0.910 0.807
F 0.157 0.684 0.552
F 0.181 0.682 0.075
F 0.205 0.205 0.589
F 0.440 0.914 0.821
F 0.682 0.181 0.075
F 0.684 0.157 0.552
F 0.914 0.440 0.821

The 8 most intense peaks (15 to 90 degrees two-theta), in order of rising 2θ:
17.53 deg, I = 38.9; 17.85 deg, I = 100.0; 18.15 deg, I = 65.5; 35.41 deg, I = 26.7; 40.71 deg, I = 48.7; 42.86 deg, I = 80.0; 60.14 deg, I = 26.5; 61.04 deg, I = 24.1